Computed X-ray powder pattern of RbY2AuS4 for Cu Kα (λ = 1.5418 Å), from the GGA-PBE geometry in Alexandria.
Lines closer than 0.1° are merged.

Principal peaks in the range 2θ = 10–90°, low angle first:
Position (°2θ), I (rel.)
12.48, 25
14.24, 72
25.12, 23
25.75, 22
26.07, 37
31.94, 100
34.17, 38
38.08, 23
38.96, 26
43.97, 36

Lattice parameters (Å, degrees): 7.2118 7.2118 14.1802 90.00 90.00 147.26
Element x y z (fractional)
Rb 0.1184 0.8816 0.7500
Rb 0.8816 0.1184 0.2500
Y 0.3688 0.6312 0.5659
Y 0.3688 0.6312 0.9341
Y 0.6312 0.3688 0.0659
Y 0.6312 0.3688 0.4341
Au 0.1598 0.8402 0.2500
Au 0.8402 0.1598 0.7500
S 0.0000 0.0000 0.0000
S 0.0000 0.0000 0.5000
S 0.2595 0.7405 0.1004
S 0.2595 0.7405 0.3996
S 0.4428 0.5572 0.7500
S 0.5572 0.4428 0.2500
S 0.7405 0.2595 0.6004
S 0.7405 0.2595 0.8996